The following is a calculated powder diffraction line list of Sm3CuAg2. It was derived from a DFT-relaxed cell (PBE, Alexandria), using Cu Kα, 1.54184 Å.

Atomic structure:
a b c (Å): 5.1930 5.1930 12.6723
angles (deg): 90.00 90.00 120.00
Space group P-3m1 (No. 164)
Unique sites:
Sm (0.0000, 0.0000, 0.2443) x2
Sm (0.3333, 0.6667, 0.4105) x2
Sm (0.3333, 0.6667, 0.9169) x2
Cu (0.3333, 0.6667, 0.1636) x2
Ag (0.0000, 0.0000, 0.0000) x1
Ag (0.0000, 0.0000, 0.5000) x1
Ag (0.3333, 0.6667, 0.6654) x2

Top 10 peaks for 10 to 80 degrees two-theta, in order of falling intensity:
34.6 deg, d 2.593, I = 100, hkl 1 1 0; 61.9 deg, d 1.498, I = 27, hkl 3 0 0; 49.7 deg, d 1.834, I = 18, hkl 0 2 4; 62.1 deg, d 1.494, I = 9, hkl 0 1 8; 72.9 deg, d 1.298, I = 6, hkl 2 2 0; 24.3 deg, d 3.667, I = 5, hkl 0 1 2; 73.1 deg, d 1.295, I = 5, hkl 2 0 8; 42.7 deg, d 2.119, I = 1, hkl 2 0 2; 56.0 deg, d 1.642, I = 1, hkl 1 2 2; 56.1 deg, d 1.638, I = 1, hkl 1 1 6

The following is a calculated powder diffraction line list of PrDy14Pu. It was derived from a DFT-relaxed cell (PBE, Alexandria), using Cu Kα, 1.54184 Å.

Atomic structure:
a b c (Å): 11.2868 7.2292 12.4975
angles (deg): 90.00 90.00 90.00
Space group Amm2 (No. 38)
Unique sites:
Pr (0.0000, 0.0000, 0.0000) x2
Dy (0.0000, 0.2493, 0.7495) x4
Dy (0.2479, 0.0000, 0.3347) x4
Dy (0.2497, 0.2470, 0.5824) x8
Dy (0.2535, 0.0000, 0.8327) x4
Dy (0.5000, 0.0000, 0.0001) x2
Dy (0.5000, 0.0000, 0.5001) x2
Dy (0.5000, 0.2498, 0.2499) x4
Pu (0.0000, 0.0000, 0.5007) x2

Top 10 peaks for 10 to 80 degrees two-theta, in order of falling intensity:
32.7 deg, d 2.735, I = 100, hkl 2 2 2; 31.7 deg, d 2.822, I = 24, hkl 4 0 0; 28.5 deg, d 3.127, I = 24, hkl 0 0 4; 60.9 deg, d 1.521, I = 23, hkl 4 4 0; 57.1 deg, d 1.612, I = 21, hkl 6 2 2; 50.6 deg, d 1.806, I = 20, hkl 0 4 0; 61.5 deg, d 1.507, I = 16, hkl 2 0 8; 43.2 deg, d 2.095, I = 16, hkl 4 0 4; 79.7 deg, d 1.203, I = 5, hkl 6 4 4; 68.6 deg, d 1.368, I = 4, hkl 4 4 4

The following is a calculated powder diffraction line list of Ag6RhF8. It was derived from a DFT-relaxed cell (PBE, Alexandria), using Cu Kα, 1.54184 Å.

Atomic structure:
a b c (Å): 7.0462 7.0462 15.8389
angles (deg): 90.00 90.00 120.00
Space group R-3 (No. 148, hexagonal axes)
Unique sites:
Ag (0.0463, 0.5180, 0.0965) x18
Rh (0.0000, 0.0000, 0.0000) x3
F (0.0000, 0.0000, 0.3158) x6
F (0.0779, 0.5343, 0.5887) x18

Top 10 peaks for 10 to 80 degrees two-theta, in order of falling intensity:
29.8 deg, d 2.996, I = 100, hkl 0 2 1; 45.5 deg, d 1.993, I = 51, hkl 2 1 4; 51.9 deg, d 1.761, I = 44, hkl 2 2 0; 31.4 deg, d 2.847, I = 39, hkl 2 0 2; 37.2 deg, d 2.417, I = 37, hkl 0 2 4; 41.1 deg, d 2.198, I = 33, hkl 2 0 5; 34.0 deg, d 2.640, I = 29, hkl 0 0 6; 42.8 deg, d 2.113, I = 27, hkl 1 1 6; 40.7 deg, d 2.214, I = 25, hkl 3 -2 2; 30.5 deg, d 2.931, I = 25, hkl 2 -1 3